Diffraction record for Ba3Ac. The X-ray powder pattern is calculated, not measured: it uses DFT lattice parameters and positions (GGA-PBE) and Cu Kα.
No peak broadening, texture or thermal motion is included.

Most intense lines, 15 to 90 degrees two-theta, most intense first:
2theta, I (rel.)
25.2, 100.0
29.4, 34.0
49.7, 32.5
41.6, 26.5
28.8, 17.9
48.9, 16.6
51.8, 14.1
66.5, 13.4
42.1, 12.8
76.6, 9.1

Structural model:
```
Ba3Ac
1.0
-3.035 3.035 6.199
3.035 -3.035 6.199
3.035 3.035 -6.199
Ba Ac
3 1
direct
0.000 0.000 0.000 Ba
0.250 0.750 0.500 Ba
0.750 0.250 0.500 Ba
0.500 0.500 0.000 Ac
```